Record 1
Calculated powder diffraction line list
Compound: Rb2WO2F4
Radiation: Cu Kα (weighted mean of Kα1 and Kα2)
Structure: DFT lattice parameters and positions (GGA+U)

Structural model:
a b c (Å): 10.6697 6.1395 4.9797
angles (deg): 90.00 91.98 90.00
Space group C2/m (No. 12)
Symmetry-distinct sites (fractional):
Rb  0.1710  0.0000  0.3139 [4 per cell]
W  0.0000  0.5000  0.0000 [2 per cell]
O  0.1450  0.5000  0.2132 [4 per cell]
F  0.0732  0.2692  0.7790 [8 per cell]

Largest 8 diffraction maxima, sorted by position, 5 to 70 degrees two-theta:
- 2θ 16.65, I 544, hkl 1 1 0
- 2θ 24.04, I 504, hkl 2 0 -1
- 2θ 24.70, I 1000, hkl 1 1 1
- 2θ 29.05, I 893, hkl 3 1 0
- 2θ 38.08, I 526, hkl 2 2 -1
- 2θ 38.87, I 250, hkl 4 0 1
- 2θ 39.72, I 277, hkl 1 1 -2
- 2θ 49.25, I 205, hkl 4 0 -2

=====

Record 2
Calculated powder diffraction line list
Compound: Sr2V2OF10
Radiation: Cu Kα (weighted mean of Kα1 and Kα2)
Structure: DFT lattice parameters and positions (GGA+U)

Structural model:
a b c (Å): 7.8747 20.1277 10.7876
angles (deg): 90.00 90.00 90.00
Space group Cmce (No. 64)
Symmetry-distinct sites (fractional):
Sr  0.0000  0.1184  0.0443 [8 per cell]
Sr  0.2500  0.2185  0.7500 [8 per cell]
V  0.0000  0.1714  0.4343 [8 per cell]
V  0.2500  0.0307  0.7500 [8 per cell]
O  0.0000  0.0928  0.4518 [8 per cell]
F  0.0000  0.0317  0.7099 [8 per cell]
F  0.0000  0.1789  0.2539 [8 per cell]
F  0.0000  0.1990  0.6078 [8 per cell]
F  0.0000  0.2184  0.8960 [8 per cell]
F  0.1986  0.0330  0.1293 [16 per cell]
F  0.2016  0.1035  0.8622 [16 per cell]
F  0.2386  0.1893  0.4219 [16 per cell]

Largest 8 diffraction maxima, sorted by position, 5 to 70 degrees two-theta:
- 2θ 8.79, I 431, hkl 0 2 0
- 2θ 24.19, I 1000, hkl 0 4 2
- 2θ 25.66, I 427, hkl 2 2 1
- 2θ 26.32, I 554, hkl 0 2 3
- 2θ 28.06, I 864, hkl 2 0 2
- 2θ 28.79, I 561, hkl 2 4 0
- 2θ 43.47, I 849, hkl 2 6 3
- 2θ 46.11, I 404, hkl 4 0 0

=====

Record 3
Calculated powder diffraction line list
Compound: Te4WO5F20
Radiation: Cu Kα (weighted mean of Kα1 and Kα2)
Structure: DFT lattice parameters and positions (GGA+U)

Structural model:
a b c (Å): 9.9814 10.4834 10.8899
angles (deg): 75.60 87.11 83.41
Space group P-1 (No. 2)
Symmetry-distinct sites (fractional):
Te  0.1751  0.3137  0.1478 [2 per cell]
Te  0.2412  0.3736  0.6484 [2 per cell]
Te  0.2727  0.8713  0.5873 [2 per cell]
Te  0.2974  0.8136  0.0794 [2 per cell]
W  0.2705  0.5880  0.8695 [2 per cell]
O  0.2163  0.4661  0.7784 [2 per cell]
O  0.2229  0.7306  0.7233 [2 per cell]
O  0.2355  0.7145  0.9738 [2 per cell]
O  0.2436  0.4504  0.0248 [2 per cell]
O  0.4430  0.5695  0.8561 [2 per cell]
F  0.0067  0.6114  0.8934 [2 per cell]
F  0.0706  0.3159  0.6885 [2 per cell]
F  0.1006  0.1814  0.2710 [2 per cell]
F  0.1189  0.8662  0.1194 [2 per cell]
F  0.1436  0.8335  0.4870 [2 per cell]
F  0.1442  0.9888  0.6444 [2 per cell]
F  0.1641  0.2119  0.0309 [2 per cell]
F  0.1649  0.5220  0.5294 [2 per cell]
F  0.1707  0.4145  0.2672 [2 per cell]
F  0.2625  0.2797  0.5225 [2 per cell]
F  0.2978  0.9619  0.9424 [2 per cell]
F  0.3010  0.6678  0.2196 [2 per cell]
F  0.3178  0.0093  0.4522 [2 per cell]
F  0.3191  0.2231  0.7631 [2 per cell]
F  0.3468  0.2329  0.1946 [2 per cell]
F  0.3553  0.9137  0.1827 [2 per cell]
F  0.4029  0.7562  0.5281 [2 per cell]
F  0.4031  0.9125  0.6847 [2 per cell]
F  0.4124  0.4303  0.6056 [2 per cell]
F  0.4783  0.7628  0.0424 [2 per cell]

Largest 8 diffraction maxima, sorted by position, 5 to 70 degrees two-theta:
- 2θ 10.54, I 308, hkl 0 1 1
- 2θ 17.90, I 1000, hkl 2 0 0
- 2θ 18.88, I 411, hkl 1 0 2
- 2θ 20.80, I 295, hkl 2 -1 0
- 2θ 21.18, I 535, hkl 0 2 2
- 2θ 22.47, I 393, hkl 1 1 -2
- 2θ 26.33, I 275, hkl 2 2 2
- 2θ 27.27, I 398, hkl 0 2 -2

=====

Record 4
Calculated powder diffraction line list
Compound: V2OF5
Radiation: Cu Kα (weighted mean of Kα1 and Kα2)
Structure: DFT lattice parameters and positions (GGA+U)

Structural model:
a b c (Å): 5.2374 5.2374 13.5263
angles (deg): 90.00 90.00 120.00
Space group P3_221 (No. 154)
Symmetry-distinct sites (fractional):
V  0.0262  0.6908  0.0874 [6 per cell]
O  0.0000  0.2450  0.8333 [3 per cell]
F  0.0000  0.0656  0.3333 [3 per cell]
F  0.0722  0.4052  0.1668 [6 per cell]
F  0.2493  0.5996  0.6636 [6 per cell]

Largest 8 diffraction maxima, sorted by position, 5 to 70 degrees two-theta:
- 2θ 23.62, I 1000, hkl 0 1 2
- 2θ 33.04, I 136, hkl 1 0 4
- 2θ 39.81, I 171, hkl 1 1 3
- 2θ 48.32, I 212, hkl 0 2 4
- 2θ 53.65, I 225, hkl 1 1 6
- 2θ 55.28, I 111, hkl 1 2 2
- 2θ 61.31, I 68, hkl 3 0 0
- 2θ 69.32, I 56, hkl 2 0 8

=====

Record 5
Calculated powder diffraction line list
Compound: VOF2
Radiation: Cu Kα (weighted mean of Kα1 and Kα2)
Structure: DFT lattice parameters and positions (GGA+U)

Structural model:
a b c (Å): 5.1881 5.1890 13.3985
angles (deg): 89.44 89.83 60.35
Space group P1 (No. 1)
Symmetry-distinct sites (fractional):
V  0.0000  0.0000  0.0000 [1 per cell]
V  0.0275  0.9443  0.5010 [1 per cell]
V  0.3300  0.2897  0.3347 [1 per cell]
V  0.3748  0.3062  0.8342 [1 per cell]
V  0.6787  0.6000  0.1668 [1 per cell]
V  0.7313  0.6129  0.6677 [1 per cell]
O  0.0159  0.3944  0.7431 [1 per cell]
O  0.1120  0.2192  0.4100 [1 per cell]
O  0.6052  0.3881  0.2430 [1 per cell]
O  0.6705  0.2249  0.9079 [1 per cell]
O  0.9321  0.2924  0.0725 [1 per cell]
O  0.9487  0.7254  0.5750 [1 per cell]
F  0.0195  0.5698  0.2428 [1 per cell]
F  0.0842  0.6426  0.9118 [1 per cell]
F  0.2761  0.0341  0.9067 [1 per cell]
F  0.3001  0.6290  0.4102 [1 per cell]
F  0.3480  0.6998  0.0743 [1 per cell]
F  0.3656  0.8959  0.5776 [1 per cell]
F  0.4180  0.5803  0.7422 [1 per cell]
F  0.4176  0.9780  0.2373 [1 per cell]
F  0.6104  0.9861  0.7386 [1 per cell]
F  0.7048  0.0288  0.4042 [1 per cell]
F  0.7542  0.8839  0.0769 [1 per cell]
F  0.7573  0.3113  0.5740 [1 per cell]

Largest 8 diffraction maxima, sorted by position, 5 to 70 degrees two-theta:
- 2θ 23.68, I 981, hkl 0 1 2
- 2θ 23.81, I 989, hkl 1 0 2
- 2θ 23.96, I 1000, hkl 1 1 -2
- 2θ 33.28, I 286, hkl 1 0 -4
- 2θ 48.45, I 205, hkl 0 2 4
- 2θ 48.74, I 197, hkl 2 0 4
- 2θ 53.89, I 231, hkl 1 2 6
- 2θ 54.27, I 226, hkl 2 1 -6

=====

Record 6
Calculated powder diffraction line list
Compound: V6O7F5
Radiation: Cu Kα (weighted mean of Kα1 and Kα2)
Structure: DFT lattice parameters and positions (GGA+U)

Structural model:
a b c (Å): 4.6921 9.3188 4.6988
angles (deg): 90.00 92.70 90.00
Space group Pm (No. 6)
Symmetry-distinct sites (fractional):
V  0.0000  0.0000  0.0000 [1 per cell]
V  0.0252  0.3247  0.9748 [2 per cell]
V  0.4568  0.5000  0.4815 [1 per cell]
V  0.4916  0.1734  0.5054 [2 per cell]
O  0.1865  0.5000  0.1707 [1 per cell]
O  0.2021  0.1557  0.1886 [2 per cell]
O  0.3041  0.3314  0.6817 [2 per cell]
O  0.8072  0.1575  0.8003 [2 per cell]
F  0.2995  0.0000  0.6961 [1 per cell]
F  0.6981  0.0000  0.3044 [1 per cell]
F  0.6982  0.3354  0.2866 [2 per cell]
F  0.8001  0.5000  0.7721 [1 per cell]

Largest 8 diffraction maxima, sorted by position, 5 to 70 degrees two-theta:
- 2θ 26.23, I 1000, hkl 1 0 -1
- 2θ 27.52, I 994, hkl 1 0 1
- 2θ 34.64, I 987, hkl 0 3 1
- 2θ 39.30, I 249, hkl 1 3 -1
- 2θ 40.21, I 222, hkl 1 3 1
- 2θ 51.91, I 635, hkl 1 3 -2
- 2θ 53.38, I 555, hkl 1 3 2
- 2θ 67.01, I 430, hkl 0 3 3

=====

Record 7
Calculated powder diffraction line list
Compound: VOF2
Radiation: Cu Kα (weighted mean of Kα1 and Kα2)
Structure: DFT lattice parameters and positions (GGA+U)

Structural model:
a b c (Å): 5.2371 5.3794 12.8087
angles (deg): 90.81 91.29 118.60
Space group P-1 (No. 2)
Symmetry-distinct sites (fractional):
V  0.0000  0.0000  0.0000 [1 per cell]
V  0.0000  0.0000  0.5000 [1 per cell]
V  0.3272  0.6901  0.1617 [2 per cell]
V  0.3312  0.6110  0.6642 [2 per cell]
O  0.0943  0.3394  0.5845 [2 per cell]
O  0.1962  0.8034  0.0626 [2 per cell]
O  0.4786  0.5306  0.2792 [2 per cell]
F  0.0687  0.5359  0.7773 [2 per cell]
F  0.1365  0.8526  0.6146 [2 per cell]
F  0.2685  0.1213  0.8816 [2 per cell]
F  0.2683  0.3436  0.0821 [2 per cell]
F  0.4097  0.0067  0.2566 [2 per cell]
F  0.4108  0.2009  0.4456 [2 per cell]

Largest 8 diffraction maxima, sorted by position, 5 to 70 degrees two-theta:
- 2θ 23.45, I 990, hkl 1 0 -2
- 2θ 23.73, I 965, hkl 0 1 2
- 2θ 24.02, I 1000, hkl 1 -1 2
- 2θ 33.36, I 236, hkl 0 1 -4
- 2θ 47.97, I 230, hkl 2 0 -4
- 2θ 48.57, I 187, hkl 0 2 4
- 2θ 49.18, I 183, hkl 2 -2 4
- 2θ 54.92, I 130, hkl -2 1 6

=====

Record 8
Calculated powder diffraction line list
Compound: V2O3F
Radiation: Cu Kα (weighted mean of Kα1 and Kα2)
Structure: DFT lattice parameters and positions (GGA+U)

Structural model:
a b c (Å): 8.8159 6.8703 7.0911
angles (deg): 90.00 111.47 90.00
Space group C2 (No. 5)
Symmetry-distinct sites (fractional):
V  0.0000  0.0000  0.0000 [2 per cell]
V  0.0000  0.0419  0.5000 [2 per cell]
V  0.1671  0.4550  0.1674 [4 per cell]
V  0.1668  0.4986  0.6668 [4 per cell]
O  0.0000  0.3027  0.5000 [2 per cell]
O  0.0642  0.4955  0.8715 [4 per cell]
O  0.1016  0.9947  0.7943 [4 per cell]
O  0.1664  0.1937  0.1674 [4 per cell]
O  0.2303  0.9982  0.5381 [4 per cell]
F  0.0000  0.6992  0.5000 [2 per cell]
F  0.1667  0.7959  0.1651 [4 per cell]

Largest 8 diffraction maxima, sorted by position, 5 to 70 degrees two-theta:
- 2θ 25.94, I 926, hkl 0 2 0
- 2θ 27.81, I 1000, hkl 2 0 -2
- 2θ 35.33, I 928, hkl 3 1 0
- 2θ 39.72, I 273, hkl 2 2 1
- 2θ 41.03, I 186, hkl 4 0 -1
- 2θ 52.09, I 505, hkl 3 3 0
- 2θ 54.21, I 556, hkl 5 1 -2
- 2θ 67.45, I 192, hkl 5 3 -2

=====

Record 9
Calculated powder diffraction line list
Compound: V6O7F5
Radiation: Cu Kα (weighted mean of Kα1 and Kα2)
Structure: DFT lattice parameters and positions (GGA+U)

Structural model:
a b c (Å): 9.0617 6.5671 7.3576
angles (deg): 90.00 110.62 90.00
Space group Cm (No. 8)
Symmetry-distinct sites (fractional):
V  0.0000  0.0000  0.0000 [2 per cell]
V  0.0115  0.0000  0.5024 [2 per cell]
V  0.1662  0.5000  0.6638 [2 per cell]
V  0.1993  0.5000  0.1872 [2 per cell]
V  0.3105  0.0000  0.8238 [2 per cell]
V  0.3506  0.0000  0.3115 [2 per cell]
O  0.0744  0.5000  0.3488 [2 per cell]
O  0.1621  0.2022  0.6577 [4 per cell]
O  0.2225  0.0000  0.0249 [2 per cell]
O  0.2682  0.5000  0.9678 [2 per cell]
O  0.3451  0.3049  0.3314 [4 per cell]
F  0.9997  0.3054  0.9945 [4 per cell]
F  0.1144  0.0000  0.2955 [2 per cell]
F  0.4023  0.5000  0.7041 [2 per cell]
F  0.4305  0.0000  0.6263 [2 per cell]

Largest 8 diffraction maxima, sorted by position, 5 to 70 degrees two-theta:
- 2θ 27.00, I 940, hkl 2 0 -2
- 2θ 27.16, I 1000, hkl 0 2 0
- 2θ 34.21, I 518, hkl 1 1 2
- 2θ 34.54, I 444, hkl 3 1 0
- 2θ 52.25, I 297, hkl 1 1 -4
- 2θ 52.67, I 339, hkl 1 3 2
- 2θ 52.93, I 530, hkl 3 3 0
- 2θ 66.94, I 219, hkl 1 3 -4